Entry 1:
This entry pairs a crystal structure of K3B12H12Br with its theoretical powder diffractogram. Radiation: copper Kα. Structure: a DFT-relaxed cell (PBE, the Materials Project).
No peak broadening, texture or thermal motion is included.

Peak list (6 most intense, 2θ = 15–90°, by angle)
- 2θ 17.04, 5.204 Å, rel. 100, (0 0 2)
- 2θ 22.58, 3.938 Å, rel. 29, (2 0 1)
- 2θ 23.17, 3.840 Å, rel. 72, (2 2 0)
- 2θ 23.76, 3.745 Å, rel. 38, (0 4 0)
- 2θ 27.38, 3.258 Å, rel. 42, (2 2 -2)
- 2θ 29.37, 3.041 Å, rel. 39, (0 4 2)

Atomic structure:
```
data_K3B12H12Br
_symmetry_space_group_name_H-M 'C 1 2/m 1'
_symmetry_Int_Tables_number 12
_symmetry_space_group_name_Hall '-C 2y'
_cell_length_a 9.011
_cell_length_b 14.983
_cell_length_c 10.487
_cell_angle_alpha 90.00
_cell_angle_beta 97.05
_cell_angle_gamma 90.00
loop_
_atom_site_label
_atom_site_type_symbol
_atom_site_fract_x
_atom_site_fract_y
_atom_site_fract_z
K1 K 0.000 0.000 0.000
K2 K 0.250 0.250 0.000
B1 B 0.005 0.500 0.167
B2 B 0.050 0.405 0.077
B3 B 0.136 0.444 0.943
B4 B 0.159 0.500 0.091
H1 H 0.010 0.500 0.719
H2 H 0.123 0.214 0.391
H3 H 0.168 0.171 0.398
H4 H 0.250 0.000 0.115
Br1 Br 0.000 0.500 0.500
```



Entry 2:
This entry pairs a crystal structure of K3B12H12Br with its theoretical powder diffractogram. Radiation: copper Kα. Structure: a DFT-relaxed cell (PBE, the Materials Project).
No peak broadening, texture or thermal motion is included.

Peak list (6 most intense, 2θ = 15–90°, by angle)
- 2θ 17.39, 5.098 Å, rel. 51, (1 1 0)
- 2θ 25.77, 3.457 Å, rel. 100, (2 0 2)
- 2θ 27.91, 3.197 Å, rel. 62, (2 1 1)
- 2θ 29.81, 2.997 Å, rel. 65, (1 1 3)
- 2θ 35.21, 2.549 Å, rel. 40, (2 2 0)
- 2θ 37.61, 2.392 Å, rel. 43, (1 3 1)

Atomic structure:
```
data_K3B12H12Br
_symmetry_space_group_name_H-M 'R -3 m'
_symmetry_Int_Tables_number 166
_symmetry_space_group_name_Hall '-R 3 2"'
_cell_length_a 10.1969
_cell_length_b 10.1969
_cell_length_c 11.1161
_cell_angle_alpha 90.00
_cell_angle_beta 90.00
_cell_angle_gamma 120.00
loop_
_atom_site_label
_atom_site_type_symbol
_atom_site_fract_x
_atom_site_fract_y
_atom_site_fract_z
K1 K 0.0000 0.5000 0.0000
B1 B 0.0580 0.1159 0.8791
B2 B 0.0941 0.1881 0.0288
H1 H 0.0115 0.5058 0.7173
H2 H 0.0988 0.1976 0.7927
Br1 Br 0.0000 0.0000 0.5000
```



Entry 3:
This entry pairs a crystal structure of Rb3B12H12Br with its theoretical powder diffractogram. Radiation: copper Kα. Structure: a DFT-relaxed cell (PBE, the Materials Project).
No peak broadening, texture or thermal motion is included.

Peak list (6 most intense, 2θ = 15–90°, by angle)
- 2θ 21.22, 4.186 Å, rel. 50, (0 2 1)
- 2θ 25.05, 3.555 Å, rel. 100, (2 0 2)
- 2θ 27.40, 3.256 Å, rel. 39, (2 1 1)
- 2θ 28.71, 3.109 Å, rel. 40, (1 1 3)
- 2θ 34.64, 2.589 Å, rel. 41, (2 2 0)
- 2θ 36.76, 2.445 Å, rel. 35, (0 2 4)

Atomic structure:
```
data_Rb3B12H12Br
_symmetry_space_group_name_H-M 'R -3 m'
_symmetry_Int_Tables_number 166
_symmetry_space_group_name_Hall '-R 3 2"'
_cell_length_a 10.3576
_cell_length_b 10.3576
_cell_length_c 11.6645
_cell_angle_alpha 90.00
_cell_angle_beta 90.00
_cell_angle_gamma 120.00
loop_
_atom_site_label
_atom_site_type_symbol
_atom_site_fract_x
_atom_site_fract_y
_atom_site_fract_z
Rb1 Rb 0.0000 0.5000 0.0000
B1 B 0.0571 0.1143 0.8848
B2 B 0.0927 0.1853 0.0273
H1 H 0.0162 0.5081 0.7144
H2 H 0.0977 0.1954 0.8028
Br1 Br 0.0000 0.0000 0.5000
```



Entry 4:
This entry pairs a crystal structure of La2B3Br with its theoretical powder diffractogram. Radiation: copper Kα. Structure: a DFT-relaxed cell (PBE, the Materials Project).
No peak broadening, texture or thermal motion is included.

Peak list (6 most intense, 2θ = 15–90°, by angle)
- 2θ 26.25, 3.395 Å, rel. 53, (2 0 0)
- 2θ 28.27, 3.157 Å, rel. 19, (2 0 1)
- 2θ 33.68, 2.661 Å, rel. 100, (2 0 2)
- 2θ 46.32, 1.960 Å, rel. 27, (2 2 0)
- 2θ 58.48, 1.578 Å, rel. 18, (4 0 2)
- 2θ 77.67, 1.229 Å, rel. 17, (4 2 2)

Atomic structure:
```
data_La2B3Br
_symmetry_space_group_name_H-M 'P -6 m 2'
_symmetry_Int_Tables_number 187
_symmetry_space_group_name_Hall 'P -6 2'
_cell_length_a 7.8412
_cell_length_b 7.8412
_cell_length_c 8.5686
_cell_angle_alpha 90.00
_cell_angle_beta 90.00
_cell_angle_gamma 120.00
loop_
_atom_site_label
_atom_site_type_symbol
_atom_site_fract_x
_atom_site_fract_y
_atom_site_fract_z
La1 La 0.0000 0.0000 0.2313
La2 La 0.5003 0.0007 0.2169
B1 B 0.1391 0.2781 0.0000
B2 B 0.2627 0.5253 0.0000
B3 B 0.2775 0.1388 0.0000
B4 B 0.5251 0.2626 0.0000
Br1 Br 0.3333 0.6667 0.5000
Br2 Br 0.3390 0.1695 0.5000
```



Entry 5:
This entry pairs a crystal structure of La4B4Br5 with its theoretical powder diffractogram. Radiation: copper Kα. Structure: a DFT-relaxed cell (PBE, the Materials Project).
No peak broadening, texture or thermal motion is included.

Peak list (6 most intense, 2θ = 15–90°, by angle)
- 2θ 27.72, 3.218 Å, rel. 100, (1 1 -4)
- 2θ 30.54, 2.927 Å, rel. 23, (6 0 -1)
- 2θ 32.65, 2.743 Å, rel. 22, (5 1 -1)
- 2θ 37.34, 2.408 Å, rel. 18, (2 0 -8)
- 2θ 41.76, 2.163 Å, rel. 20, (0 2 0)
- 2θ 42.39, 2.133 Å, rel. 18, (5 1 3)

Atomic structure:
```
data_La4B4Br5
_symmetry_space_group_name_H-M 'C 1 2/m 1'
_symmetry_Int_Tables_number 12
_symmetry_space_group_name_Hall '-C 2y'
_cell_length_a 18.449
_cell_length_b 4.325
_cell_length_c 19.645
_cell_angle_alpha 90.00
_cell_angle_beta 116.39
_cell_angle_gamma 90.00
loop_
_atom_site_label
_atom_site_type_symbol
_atom_site_fract_x
_atom_site_fract_y
_atom_site_fract_z
La1 La 0.006 0.000 0.129
La2 La 0.069 0.000 0.410
La3 La 0.110 0.500 0.773
La4 La 0.185 0.500 0.302
B1 B 0.027 0.500 0.215
B2 B 0.039 0.185 0.270
B3 B 0.051 0.500 0.323
Br1 Br 0.000 0.500 0.000
Br2 Br 0.000 0.500 0.500
Br3 Br 0.126 0.000 0.669
Br4 Br 0.173 0.000 0.899
Br5 Br 0.194 0.000 0.189
Br6 Br 0.243 0.500 0.573
```



Entry 6:
This entry pairs a crystal structure of LiBBr2 with its theoretical powder diffractogram. Radiation: copper Kα. Structure: a DFT-relaxed cell (PBE, the Materials Project).
No peak broadening, texture or thermal motion is included.

Peak list (6 most intense, 2θ = 15–90°, by angle)
- 2θ 21.39, 4.153 Å, rel. 87, (1 1 1)
- 2θ 35.29, 2.543 Å, rel. 100, (2 2 0)
- 2θ 41.64, 2.169 Å, rel. 45, (3 1 1)
- 2θ 50.76, 1.799 Å, rel. 17, (4 0 0)
- 2θ 55.69, 1.650 Å, rel. 19, (3 3 1)
- 2θ 63.33, 1.468 Å, rel. 35, (4 2 2)

Atomic structure:
```
data_LiBBr2
_symmetry_space_group_name_H-M 'F -4 3 m'
_symmetry_Int_Tables_number 216
_symmetry_space_group_name_Hall 'F -4 2 3'
_cell_length_a 7.194
_cell_length_b 7.194
_cell_length_c 7.194
_cell_angle_alpha 90.00
_cell_angle_beta 90.00
_cell_angle_gamma 90.00
loop_
_atom_site_label
_atom_site_type_symbol
_atom_site_fract_x
_atom_site_fract_y
_atom_site_fract_z
Li1 Li 0.000 0.000 0.000
B1 B 0.250 0.250 0.250
Br1 Br 0.000 0.000 0.500
Br2 Br 0.250 0.250 0.750
```



Entry 7:
This entry pairs a crystal structure of Mg2BBrN2 with its theoretical powder diffractogram. Radiation: copper Kα. Structure: a DFT-relaxed cell (PBE, the Materials Project).
No peak broadening, texture or thermal motion is included.

Peak list (6 most intense, 2θ = 15–90°, by angle)
- 2θ 24.24, 3.671 Å, rel. 62, (1 1 1)
- 2θ 28.86, 3.094 Å, rel. 74, (0 0 2)
- 2θ 30.36, 2.944 Å, rel. 69, (0 2 1)
- 2θ 32.36, 2.767 Å, rel. 40, (3 1 -1)
- 2θ 33.98, 2.638 Å, rel. 100, (2 2 -1)
- 2θ 39.65, 2.273 Å, rel. 42, (2 2 1)

Atomic structure:
```
data_Mg2BBrN2
_symmetry_space_group_name_H-M 'C 1 2/c 1'
_symmetry_Int_Tables_number 15
_symmetry_space_group_name_Hall '-C 2yc'
_cell_length_a 9.207
_cell_length_b 6.690
_cell_length_c 6.566
_cell_angle_alpha 90.00
_cell_angle_beta 109.53
_cell_angle_gamma 90.00
loop_
_atom_site_label
_atom_site_type_symbol
_atom_site_fract_x
_atom_site_fract_y
_atom_site_fract_z
Mg1 Mg 0.241 0.103 0.162
B1 B 0.000 0.115 0.750
Br1 Br 0.000 0.369 0.250
N1 N 0.155 0.114 0.820
```